The following is a calculated powder diffractogram of PrV2PO8. It was derived from a crystal structure in Alexandria, relaxed with GGA+U, using λ = 1.5418 Å (Cu Kα).
Intensities are scaled so that the largest is 1000.

The 10 most intense peaks (2θ = 10–90°), low angle first:
- 4.260 Å, 20.9 deg, I 700, (1 0 0)
- 3.508 Å, 25.4 deg, I 1000, (0 1 1)
- 2.502 Å, 35.9 deg, I 530, (1 0 2)
- 2.459 Å, 36.5 deg, I 786, (1 1 0)
- 2.014 Å, 45.0 deg, I 534, (2 0 1)
- 1.924 Å, 47.2 deg, I 444, (1 1 2)
- 1.855 Å, 49.1 deg, I 202, (0 1 3)
- 1.754 Å, 52.2 deg, I 347, (0 2 2)
- 1.558 Å, 59.3 deg, I 208, (1 2 1)
- 1.428 Å, 65.4 deg, I 194, (2 1 2)

a = 4.9189 Å, b = 4.9189 Å, c = 6.1812 Å
α = 90.00°, β = 90.00°, γ = 120.00°
Fractional coordinates of all 12 atoms:
Pr 0.0000 0.0000 0.0000
V 0.3333 0.6667 0.3942
V 0.6667 0.3333 0.6058
P 0.0000 0.0000 0.5000
O 0.1630 0.3260 0.6538
O 0.1630 0.8370 0.6538
O 0.3260 0.1630 0.3462
O 0.3333 0.6667 0.1156
O 0.6667 0.3333 0.8844
O 0.6740 0.8370 0.6538
O 0.8370 0.1630 0.3462
O 0.8370 0.6740 0.3462